This entry pairs a crystal structure of KNbCl6 with its simulated powder diffraction line list. Radiation: λ = 1.5418 Å (Cu Kα). Structure: a DFT-relaxed cell (PBE, the Materials Project).
Lines closer than 0.1° are merged.

Atomic structure:
```
KNbCl6
1.0
7.330 0.000 0.000
0.000 7.507 0.000
0.000 0.000 10.414
K Nb Cl
2 2 12
direct
0.000 0.169 0.000
0.500 0.831 0.500
0.000 0.741 0.285
0.500 0.259 0.785
0.000 0.749 0.513
0.000 0.751 0.055
0.229 0.972 0.282
0.230 0.522 0.283
0.270 0.478 0.783
0.271 0.028 0.782
0.500 0.249 0.555
0.500 0.251 0.013
0.729 0.028 0.782
0.730 0.478 0.783
0.770 0.522 0.283
0.771 0.972 0.282
```

Main lines, in order of falling intensity (10 to 80 degrees two-theta):
- 14.55°, 6.090 Å, intensity 100
- 14.78°, 5.994 Å, intensity 73
- 16.91°, 5.245 Å, intensity 67
- 34.19°, 2.622 Å, intensity 60
- 49.32°, 1.848 Å, intensity 34
- 17.03°, 5.207 Å, intensity 33
- 34.45°, 2.603 Å, intensity 31
- 28.40°, 3.143 Å, intensity 24
- 45.15°, 2.008 Å, intensity 21
- 29.81°, 2.997 Å, intensity 20